Computed powder X-ray diffraction pattern
Compound: Ho2AgHg2
Radiation: copper Kα
Structure: DFT lattice parameters and positions (GGA-PBE)
Kinematic intensities with the Lorentz-polarization factor, no thermal factor.

Crystal structure
```
data_Ho2AgHg2
_symmetry_space_group_name_H-M 'I b a m'
_symmetry_Int_Tables_number 72
_symmetry_space_group_name_Hall '-I 2 2c'
_cell_length_a 6.6808
_cell_length_b 12.8303
_cell_length_c 5.9350
_cell_angle_alpha 90.00
_cell_angle_beta 90.00
_cell_angle_gamma 90.00
loop_
_atom_site_label
_atom_site_fract_x
_atom_site_fract_y
_atom_site_fract_z
Ho1 0.2351 0.1658 0.0000
Ag1 0.0000 0.0000 0.2500
Hg1 0.1657 0.4029 0.0000
```

Principal peaks in the range 2θ from 10° to 90°, in order of rising 2θ:
(0 0 2), 30.1°, d = 2.967 Å, I = 65
(2 1 1), 31.5°, d = 2.839 Å, I = 32
(1 4 1), 34.5°, d = 2.599 Å, I = 100
(2 3 1), 37.4°, d = 2.406 Å, I = 37
(2 0 2), 40.7°, d = 2.219 Å, I = 50
(0 4 2), 41.5°, d = 2.178 Å, I = 42

---

Computed powder X-ray diffraction pattern
Compound: SrLu2Rh
Radiation: copper Kα
Structure: DFT lattice parameters and positions (GGA-PBE)
Kinematic intensities with the Lorentz-polarization factor, no thermal factor.

Crystal structure
```
data_SrLu2Rh
_symmetry_space_group_name_H-M 'P 4/m m m'
_symmetry_Int_Tables_number 123
_symmetry_space_group_name_Hall '-P 4 2'
_cell_length_a 3.4862
_cell_length_b 3.4862
_cell_length_c 9.3897
_cell_angle_alpha 90.00
_cell_angle_beta 90.00
_cell_angle_gamma 90.00
loop_
_atom_site_label
_atom_site_fract_x
_atom_site_fract_y
_atom_site_fract_z
Sr1 0.0000 0.0000 0.0000
Lu1 0.5000 0.5000 0.3338
Rh1 0.0000 0.0000 0.5000
```

Principal peaks in the range 2θ from 10° to 90°, in order of rising 2θ:
(1 0 2), 32.0°, d = 2.799 Å, I = 100
(1 1 0), 36.4°, d = 2.465 Å, I = 77
(1 0 3), 38.7°, d = 2.329 Å, I = 59
(1 0 4), 46.6°, d = 1.947 Å, I = 36
(1 1 3), 46.9°, d = 1.937 Å, I = 28
(2 1 2), 62.8°, d = 1.480 Å, I = 29

---

Computed powder X-ray diffraction pattern
Compound: Zr2InCu3
Radiation: copper Kα
Structure: DFT lattice parameters and positions (GGA-PBE)
Kinematic intensities with the Lorentz-polarization factor, no thermal factor.

Crystal structure
```
data_Zr2InCu3
_symmetry_space_group_name_H-M 'I m m 2'
_symmetry_Int_Tables_number 44
_cell_length_a 3.1796
_cell_length_b 4.1428
_cell_length_c 16.9886
_cell_angle_alpha 90.00
_cell_angle_beta 90.00
_cell_angle_gamma 90.00
loop_
_symmetry_equiv_pos_as_xyz
'x,y,z'
'-x,-y,z'
'-x,y,z'
'x,-y,z'
'x+1/2,y+1/2,z+1/2'
'-x+1/2,-y+1/2,z+1/2'
'-x+1/2,y+1/2,z+1/2'
'x+1/2,-y+1/2,z+1/2'
loop_
_atom_site_label
_atom_site_fract_x
_atom_site_fract_y
_atom_site_fract_z
Zr1 0.0000 0.0000 0.0000
Zr2 0.0000 0.5000 0.2012
In1 0.0000 0.0000 0.3974
Cu1 0.0000 0.0000 0.5602
Cu2 0.0000 0.5000 0.6357
Cu3 0.0000 0.5000 0.7763
```

Principal peaks in the range 2θ from 10° to 90°, in order of rising 2θ:
(0 1 3), 26.7°, d = 3.344 Å, I = 28
(1 1 2), 37.2°, d = 2.418 Å, I = 100
(1 0 5), 38.8°, d = 2.322 Å, I = 56
(0 1 7), 43.2°, d = 2.094 Å, I = 51
(0 2 0), 43.7°, d = 2.071 Å, I = 31
(1 2 5), 59.8°, d = 1.546 Å, I = 30

---

Computed powder X-ray diffraction pattern
Compound: SrPmEuHo
Radiation: copper Kα
Structure: DFT lattice parameters and positions (GGA-PBE)
Kinematic intensities with the Lorentz-polarization factor, no thermal factor.

Crystal structure
```
data_SrPmEuHo
_symmetry_space_group_name_H-M 'F -4 3 m'
_symmetry_Int_Tables_number 216
_symmetry_space_group_name_Hall 'F -4 2 3'
_cell_length_a 8.5068
_cell_length_b 8.5068
_cell_length_c 8.5068
_cell_angle_alpha 90.00
_cell_angle_beta 90.00
_cell_angle_gamma 90.00
loop_
_atom_site_label
_atom_site_fract_x
_atom_site_fract_y
_atom_site_fract_z
Sr1 0.0000 0.0000 0.0000
Pm1 0.2500 0.2500 0.7500
Eu1 0.2500 0.2500 0.2500
Ho1 0.0000 0.0000 0.5000
```

Principal peaks in the range 2θ from 10° to 90°, in order of rising 2θ:
(2 2 0), 29.7°, d = 3.008 Å, I = 100
(4 0 0), 42.5°, d = 2.127 Å, I = 19
(4 2 2), 52.7°, d = 1.736 Å, I = 40
(4 4 0), 61.7°, d = 1.504 Å, I = 13
(6 2 0), 69.9°, d = 1.345 Å, I = 17
(6 4 2), 85.4°, d = 1.137 Å, I = 21

---

Computed powder X-ray diffraction pattern
Compound: K4Hg10Pd3
Radiation: copper Kα
Structure: DFT lattice parameters and positions (GGA-PBE)
Kinematic intensities with the Lorentz-polarization factor, no thermal factor.

Crystal structure
```
data_K4Hg10Pd3
_symmetry_space_group_name_H-M 'I 4/m m m'
_symmetry_Int_Tables_number 139
_symmetry_space_group_name_Hall '-I 4 2'
_cell_length_a 5.3751
_cell_length_b 5.3751
_cell_length_c 38.5928
_cell_angle_alpha 90.00
_cell_angle_beta 90.00
_cell_angle_gamma 90.00
loop_
_atom_site_label
_atom_site_fract_x
_atom_site_fract_y
_atom_site_fract_z
K1 0.0000 0.0000 0.0673
K2 0.0000 0.0000 0.1986
Hg1 0.0000 0.0000 0.2883
Hg2 0.0000 0.0000 0.4301
Hg3 0.0000 0.5000 0.0000
Hg4 0.0000 0.5000 0.1371
Pd1 0.0000 0.0000 0.3600
Pd2 0.0000 0.0000 0.5000
```

Principal peaks in the range 2θ from 10° to 90°, in order of rising 2θ:
(1 0 1), 16.7°, d = 5.324 Å, I = 62
(1 1 6), 27.3°, d = 3.272 Å, I = 50
(1 1 8), 29.9°, d = 2.985 Å, I = 90
(0 0 14), 32.5°, d = 2.757 Å, I = 46
(2 0 0), 33.3°, d = 2.688 Å, I = 100
(2 0 14), 47.2°, d = 1.924 Å, I = 65

---

Computed powder X-ray diffraction pattern
Compound: ScInNi
Radiation: copper Kα
Structure: DFT lattice parameters and positions (GGA-PBE)
Kinematic intensities with the Lorentz-polarization factor, no thermal factor.

Crystal structure
```
data_ScInNi
_symmetry_space_group_name_H-M 'P m m a'
_symmetry_Int_Tables_number 51
_cell_length_a 13.0263
_cell_length_b 3.3378
_cell_length_c 7.5289
_cell_angle_alpha 90.00
_cell_angle_beta 90.00
_cell_angle_gamma 90.00
loop_
_symmetry_equiv_pos_as_xyz
'x,y,z'
'-x,-y,-z'
'-x+1/2,-y,z'
'x+1/2,y,-z'
'x+1/2,-y,-z'
'-x+1/2,y,z'
'-x,y,-z'
'x,-y,z'
loop_
_atom_site_label
_atom_site_fract_x
_atom_site_fract_y
_atom_site_fract_z
Sc1 0.0485 0.0000 0.2045
Sc2 0.2500 0.0000 0.8299
In1 0.1105 0.5000 0.5682
In2 0.2500 0.5000 0.1690
Ni1 0.0911 0.5000 0.9322
Ni2 0.2500 0.0000 0.4405
```

Principal peaks in the range 2θ from 10° to 90°, in order of rising 2θ:
(3 1 1), 36.0°, d = 2.497 Å, I = 100
(4 0 2), 36.5°, d = 2.463 Å, I = 50
(1 1 2), 36.6°, d = 2.453 Å, I = 37
(4 1 0), 38.6°, d = 2.331 Å, I = 61
(6 0 0), 41.6°, d = 2.172 Å, I = 76
(1 1 3), 45.8°, d = 1.982 Å, I = 52

---

Computed powder X-ray diffraction pattern
Compound: Mg8Re
Radiation: copper Kα
Structure: DFT lattice parameters and positions (GGA-PBE)
Kinematic intensities with the Lorentz-polarization factor, no thermal factor.

Crystal structure
```
data_Mg8Re
_symmetry_space_group_name_H-M 'I 4/m m m'
_symmetry_Int_Tables_number 139
_symmetry_space_group_name_Hall '-I 4 2'
_cell_length_a 9.5954
_cell_length_b 9.5954
_cell_length_c 4.0022
_cell_angle_alpha 90.00
_cell_angle_beta 90.00
_cell_angle_gamma 90.00
loop_
_atom_site_label
_atom_site_fract_x
_atom_site_fract_y
_atom_site_fract_z
Mg1 0.0000 0.3225 0.0000
Mg2 0.1529 0.1529 0.5000
Re1 0.0000 0.0000 0.0000
```

Principal peaks in the range 2θ from 10° to 90°, in order of rising 2θ:
(1 1 0), 13.0°, d = 6.785 Å, I = 100
(2 0 0), 18.5°, d = 4.798 Å, I = 44
(1 0 1), 24.1°, d = 3.694 Å, I = 39
(2 1 1), 30.5°, d = 2.927 Å, I = 41
(3 0 1), 35.9°, d = 2.499 Å, I = 90
(3 3 0), 39.9°, d = 2.262 Å, I = 33

---

Computed powder X-ray diffraction pattern
Compound: Li2YCd10
Radiation: copper Kα
Structure: DFT lattice parameters and positions (GGA-PBE)
Kinematic intensities with the Lorentz-polarization factor, no thermal factor.

Crystal structure
```
data_Li2YCd10
_symmetry_space_group_name_H-M 'F m m m'
_symmetry_Int_Tables_number 69
_symmetry_space_group_name_Hall '-F 2 2'
_cell_length_a 5.7529
_cell_length_b 13.8029
_cell_length_c 14.0872
_cell_angle_alpha 90.00
_cell_angle_beta 90.00
_cell_angle_gamma 90.00
loop_
_atom_site_label
_atom_site_fract_x
_atom_site_fract_y
_atom_site_fract_z
Li1 0.2500 0.0000 0.2500
Y1 0.0000 0.0000 0.0000
Cd1 0.0000 0.1033 0.3878
Cd2 0.0000 0.1666 0.1780
Cd3 0.2500 0.2500 0.0000
```

Principal peaks in the range 2θ from 10° to 90°, in order of rising 2θ:
(2 0 0), 31.1°, d = 2.876 Å, I = 36
(1 3 3), 31.3°, d = 2.854 Å, I = 49
(1 1 5), 36.1°, d = 2.487 Å, I = 100
(0 4 4), 36.5°, d = 2.465 Å, I = 46
(1 5 1), 36.7°, d = 2.451 Å, I = 46
(2 0 4), 40.5°, d = 2.226 Å, I = 39

---

Computed powder X-ray diffraction pattern
Compound: Cs2PuInF6
Radiation: copper Kα
Structure: DFT lattice parameters and positions (GGA-PBE)
Kinematic intensities with the Lorentz-polarization factor, no thermal factor.

Crystal structure
```
data_Cs2PuInF6
_symmetry_space_group_name_H-M 'P 1 21/c 1'
_symmetry_Int_Tables_number 14
_cell_length_a 6.9519
_cell_length_b 6.9978
_cell_length_c 12.0319
_cell_angle_alpha 90.00
_cell_angle_beta 125.26
_cell_angle_gamma 90.00
loop_
_symmetry_equiv_pos_as_xyz
'x,y,z'
'-x,-y,-z'
'-x,y+1/2,-z+1/2'
'x,-y+1/2,z+1/2'
loop_
_atom_site_label
_atom_site_fract_x
_atom_site_fract_y
_atom_site_fract_z
Cs1 0.2448 0.0301 0.2503
Pu1 0.5000 0.0000 0.0000
In1 0.0000 0.0000 0.5000
F1 0.2007 0.1917 0.9635
F2 0.2728 0.7359 0.9607
F3 0.3446 0.0277 0.7724
```

Principal peaks in the range 2θ from 10° to 90°, in order of rising 2θ:
(0 2 0), 25.5°, d = 3.499 Å, I = 20
(1 1 1), 25.6°, d = 3.480 Å, I = 100
(2 2 -2), 36.4°, d = 2.466 Å, I = 22
(1 3 1), 45.0°, d = 2.017 Å, I = 16
(3 1 -1), 45.1°, d = 2.008 Å, I = 33
(2 2 2), 52.6°, d = 1.740 Å, I = 17

---

Computed powder X-ray diffraction pattern
Compound: Nd6SmMg2
Radiation: copper Kα
Structure: DFT lattice parameters and positions (GGA-PBE)
Kinematic intensities with the Lorentz-polarization factor, no thermal factor.

Crystal structure
```
data_Nd6SmMg2
_symmetry_space_group_name_H-M 'C m c m'
_symmetry_Int_Tables_number 63
_symmetry_space_group_name_Hall '-C 2c 2'
_cell_length_a 19.3061
_cell_length_b 11.8696
_cell_length_c 5.2037
_cell_angle_alpha 90.00
_cell_angle_beta 90.00
_cell_angle_gamma 90.00
loop_
_atom_site_label
_atom_site_fract_x
_atom_site_fract_y
_atom_site_fract_z
Nd1 0.0870 0.0859 0.2500
Nd2 0.0995 0.3904 0.2500
Nd3 0.1852 0.2023 0.7500
Sm1 0.0000 0.2495 0.7500
Mg1 0.2410 0.4487 0.7500
```

Principal peaks in the range 2θ from 10° to 90°, in order of rising 2θ:
(1 3 1), 28.7°, d = 3.108 Å, I = 95
(5 1 1), 29.8°, d = 3.000 Å, I = 100
(6 2 0), 31.6°, d = 2.829 Å, I = 28
(0 0 2), 34.5°, d = 2.602 Å, I = 37
(6 2 2), 47.5°, d = 1.915 Å, I = 17
(11 3 1), 60.4°, d = 1.533 Å, I = 18

---

Computed powder X-ray diffraction pattern
Compound: UPaRh
Radiation: copper Kα
Structure: DFT lattice parameters and positions (GGA-PBE)
Kinematic intensities with the Lorentz-polarization factor, no thermal factor.

Crystal structure
```
data_UPaRh
_symmetry_space_group_name_H-M 'I m m m'
_symmetry_Int_Tables_number 71
_symmetry_space_group_name_Hall '-I 2 2'
_cell_length_a 5.0024
_cell_length_b 5.6302
_cell_length_c 8.0985
_cell_angle_alpha 90.00
_cell_angle_beta 90.00
_cell_angle_gamma 90.00
loop_
_atom_site_label
_atom_site_fract_x
_atom_site_fract_y
_atom_site_fract_z
U1 0.0000 0.0000 0.1534
Pa1 0.0000 0.5000 0.1782
Rh1 0.0000 0.2462 0.5000
```

Principal peaks in the range 2θ from 10° to 90°, in order of rising 2θ:
(0 2 0), 31.8°, d = 2.815 Å, I = 32
(2 0 0), 35.9°, d = 2.501 Å, I = 60
(1 0 3), 37.9°, d = 2.376 Å, I = 100
(1 2 1), 38.3°, d = 2.348 Å, I = 72
(0 2 2), 39.0°, d = 2.311 Å, I = 33
(1 2 3), 50.3°, d = 1.816 Å, I = 35

---

Computed powder X-ray diffraction pattern
Compound: LiCu8Ge4
Radiation: copper Kα
Structure: DFT lattice parameters and positions (GGA-PBE)
Kinematic intensities with the Lorentz-polarization factor, no thermal factor.

Crystal structure
```
data_LiCu8Ge4
_symmetry_space_group_name_H-M 'P m m 2'
_symmetry_Int_Tables_number 25
_cell_length_a 3.4792
_cell_length_b 3.7489
_cell_length_c 14.5161
_cell_angle_alpha 90.00
_cell_angle_beta 90.00
_cell_angle_gamma 90.00
loop_
_symmetry_equiv_pos_as_xyz
'x,y,z'
'-x,-y,z'
'-x,y,z'
'x,-y,z'
loop_
_atom_site_label
_atom_site_fract_x
_atom_site_fract_y
_atom_site_fract_z
Li1 0.0000 0.0000 0.0000
Cu1 0.0000 0.0000 0.1765
Cu2 0.0000 0.0000 0.4393
Cu3 0.0000 0.5000 0.5777
Cu4 0.0000 0.5000 0.8597
Cu5 0.5000 0.0000 0.3062
Cu6 0.5000 0.0000 0.8567
Cu7 0.5000 0.5000 0.4360
Cu8 0.5000 0.5000 0.7169
Ge1 0.0000 0.0000 0.7320
Ge2 0.0000 0.5000 0.2997
Ge3 0.5000 0.0000 0.5671
Ge4 0.5000 0.5000 0.1229
```

Principal peaks in the range 2θ from 10° to 90°, in order of rising 2θ:
(0 0 2), 12.2°, d = 7.258 Å, I = 23
(1 1 3), 40.0°, d = 2.256 Å, I = 100
(1 1 4), 43.4°, d = 2.087 Å, I = 94
(0 0 7), 43.6°, d = 2.074 Å, I = 30
(0 2 0), 48.6°, d = 1.874 Å, I = 30
(2 0 0), 52.6°, d = 1.740 Å, I = 24